Record 1
# CsTc4P2
Simulated XRD peak list, Cu Kα, 1.54184 Å. Input: a PBE-relaxed structure.
Peak positions follow from Bragg's law for the DFT cell and can differ from measured ones.

Cell and atoms:
a = 9.3071 Å, b = 9.3071 Å, c = 4.0359 Å
α = 90.00°, β = 90.00°, γ = 154.61°
Element x y z (fractional)
Cs 0.0000 0.0000 0.0000
Tc 0.1974 0.8026 0.5000
Tc 0.2906 0.7094 0.0000
Tc 0.7094 0.2906 0.0000
Tc 0.8026 0.1974 0.5000
P 0.3679 0.6321 0.5000
P 0.6321 0.3679 0.5000

Largest 8 diffraction maxima, in order of falling intensity, 2θ = 10–80°:
- 2θ = 34.56°, d 2.595, intensity 100
- 2θ = 47.21°, d 1.925, intensity 75
- 2θ = 40.02°, d 2.253, intensity 38
- 2θ = 19.55°, d 4.540, intensity 34
- 2θ = 29.62°, d 3.016, intensity 31
- 2θ = 44.29°, d 2.045, intensity 29
- 2θ = 44.92°, d 2.018, intensity 27
- 2θ = 64.92°, d 1.436, intensity 18

***

Record 2
# Cs3TlP
Simulated XRD peak list, Cu Kα, 1.54184 Å. Input: a PBE-relaxed structure.
Peak positions follow from Bragg's law for the DFT cell and can differ from measured ones.

Cell and atoms:
a = 8.7805 Å, b = 6.3776 Å, c = 17.0196 Å
α = 90.00°, β = 95.50°, γ = 90.00°
Element x y z (fractional)
Cs 0.0528 0.2315 0.1737
Cs 0.0528 0.2685 0.6737
Cs 0.3558 0.7463 0.4885
Cs 0.3558 0.7537 0.9885
Cs 0.3696 0.7312 0.2498
Cs 0.3696 0.7688 0.7498
Cs 0.6304 0.2312 0.2502
Cs 0.6304 0.2688 0.7502
Cs 0.6442 0.2463 0.0115
Cs 0.6442 0.2537 0.5115
Cs 0.9472 0.7315 0.3263
Cs 0.9472 0.7685 0.8263
Tl 0.0634 0.2353 0.4446
Tl 0.0634 0.2647 0.9446
Tl 0.9366 0.7353 0.0554
Tl 0.9366 0.7647 0.5554
P 0.3000 0.2354 0.3568
P 0.3000 0.2646 0.8568
P 0.7000 0.7354 0.1432
P 0.7000 0.7646 0.6432

Largest 8 diffraction maxima, in order of falling intensity, 2θ = 10–80°:
- 2θ = 28.02°, d 3.185, intensity 100
- 2θ = 24.70°, d 3.605, intensity 98
- 2θ = 27.97°, d 3.190, intensity 71
- 2θ = 31.29°, d 2.859, intensity 68
- 2θ = 25.24°, d 3.528, intensity 31
- 2θ = 10.12°, d 8.740, intensity 27
- 2θ = 22.43°, d 3.963, intensity 26
- 2θ = 30.70°, d 2.912, intensity 24

***

Record 3
# Cs5Zn4P4
Simulated XRD peak list, Cu Kα, 1.54184 Å. Input: a PBE-relaxed structure.
Peak positions follow from Bragg's law for the DFT cell and can differ from measured ones.

Cell and atoms:
a = 9.9823 Å, b = 9.9823 Å, c = 9.9823 Å
α = 92.60°, β = 92.60°, γ = 155.41°
Element x y z (fractional)
Cs 0.0000 0.0000 0.0000
Cs 0.2892 0.3640 0.6532
Cs 0.3640 0.7108 0.0748
Cs 0.6360 0.2892 0.9252
Cs 0.7108 0.6360 0.3468
Zn 0.1030 0.5742 0.6772
Zn 0.4258 0.1030 0.5288
Zn 0.5742 0.8970 0.4712
Zn 0.8970 0.4258 0.3228
P 0.0354 0.3161 0.3515
P 0.3161 0.9646 0.2807
P 0.6839 0.0354 0.7193
P 0.9646 0.6839 0.6485

Largest 8 diffraction maxima, in order of falling intensity, 2θ = 10–80°:
- 2θ = 31.46°, d 2.844, intensity 100
- 2θ = 28.60°, d 3.121, intensity 82
- 2θ = 33.12°, d 2.705, intensity 61
- 2θ = 25.45°, d 3.500, intensity 50
- 2θ = 27.43°, d 3.251, intensity 42
- 2θ = 28.95°, d 3.084, intensity 37
- 2θ = 54.93°, d 1.671, intensity 34
- 2θ = 47.31°, d 1.922, intensity 30

***

Record 4
# CsPaPb2Se5
Simulated XRD peak list, Cu Kα, 1.54184 Å. Input: a PBE-relaxed structure.
Peak positions follow from Bragg's law for the DFT cell and can differ from measured ones.

Cell and atoms:
a = 8.7409 Å, b = 8.7409 Å, c = 8.7409 Å
α = 143.72°, β = 126.49°, γ = 66.38°
Element x y z (fractional)
Cs 0.0000 0.0000 0.0000
Pa 0.5000 0.5000 0.0000
Pb 0.2879 0.7879 0.5000
Pb 0.7121 0.2121 0.5000
Se 0.1246 0.3599 0.7647
Se 0.4048 0.6401 0.7647
Se 0.5000 0.0000 0.5000
Se 0.5952 0.3599 0.2353
Se 0.8754 0.6401 0.2353

Largest 8 diffraction maxima, in order of falling intensity, 2θ = 10–80°:
- 2θ = 23.29°, d 3.819, intensity 100
- 2θ = 33.45°, d 2.679, intensity 47
- 2θ = 12.77°, d 6.931, intensity 41
- 2θ = 32.91°, d 2.722, intensity 36
- 2θ = 47.63°, d 1.909, intensity 35
- 2θ = 33.58°, d 2.669, intensity 31
- 2θ = 40.10°, d 2.249, intensity 27
- 2θ = 22.60°, d 3.935, intensity 19

***

Record 5
# CsPaPd2S4
Simulated XRD peak list, Cu Kα, 1.54184 Å. Input: a PBE-relaxed structure.
Peak positions follow from Bragg's law for the DFT cell and can differ from measured ones.

Cell and atoms:
a = 6.5642 Å, b = 6.5642 Å, c = 6.5642 Å
α = 119.36°, β = 119.15°, γ = 91.29°
Element x y z (fractional)
Cs 0.0000 0.0000 0.0000
Pa 0.5000 0.5000 0.0000
Pd 0.2510 0.7510 0.5000
Pd 0.7490 0.2490 0.5000
S 0.1088 0.1092 0.5977
S 0.4885 0.8908 0.9995
S 0.5115 0.5111 0.4023
S 0.8912 0.4889 0.0005

Largest 8 diffraction maxima, in order of falling intensity, 2θ = 10–80°:
- 2θ = 27.18°, d 3.281, intensity 100
- 2θ = 26.86°, d 3.319, intensity 33
- 2θ = 38.35°, d 2.347, intensity 27
- 2θ = 47.59°, d 1.911, intensity 24
- 2θ = 47.69°, d 1.907, intensity 24
- 2θ = 48.22°, d 1.887, intensity 21
- 2θ = 56.06°, d 1.641, intensity 14
- 2θ = 62.71°, d 1.482, intensity 12

***

Record 6
# CsPa4Pd3S12
Simulated XRD peak list, Cu Kα, 1.54184 Å. Input: a PBE-relaxed structure.
Peak positions follow from Bragg's law for the DFT cell and can differ from measured ones.

Cell and atoms:
a = 8.5226 Å, b = 8.5226 Å, c = 8.5226 Å
α = 109.47°, β = 109.47°, γ = 109.47°
Element x y z (fractional)
Cs 0.0000 0.0000 0.0000
Pa 0.0000 0.0000 0.5000
Pa 0.0000 0.5000 0.0000
Pa 0.5000 0.0000 0.0000
Pa 0.5000 0.5000 0.5000
Pd 0.0000 0.5000 0.5000
Pd 0.5000 0.0000 0.5000
Pd 0.5000 0.5000 0.0000
S 0.1505 0.3183 0.8322
S 0.1678 0.4860 0.3183
S 0.1678 0.8495 0.6817
S 0.3183 0.1678 0.4860
S 0.3183 0.8322 0.1505
S 0.4860 0.3183 0.1678
S 0.5140 0.6817 0.8322
S 0.6817 0.1678 0.8495
S 0.6817 0.8322 0.5140
S 0.8322 0.1505 0.3183
S 0.8322 0.5140 0.6817
S 0.8495 0.6817 0.1678

Largest 8 diffraction maxima, in order of falling intensity, 2θ = 10–80°:
- 2θ = 25.60°, d 3.479, intensity 100
- 2θ = 45.14°, d 2.009, intensity 60
- 2θ = 36.52°, d 2.460, intensity 26
- 2θ = 71.78°, d 1.315, intensity 24
- 2θ = 59.40°, d 1.556, intensity 23
- 2θ = 18.03°, d 4.921, intensity 15
- 2θ = 52.61°, d 1.740, intensity 15
- 2θ = 41.02°, d 2.201, intensity 11